(1)
# Li4CoP2O8
Simulated X-ray diffraction stick pattern, Cu Kα X-rays. Input: the PBE+U geometry in the Materials Project.
Intensities are scaled so that the largest is 100.

Atomic structure:
Cell lengths 4.8350, 5.3268, 6.2194 Å; angles 96.22, 94.28, 99.37 degrees
Element x y z (fractional)
Li  0.1734  0.2903  0.0254
Li  0.2614  0.5622  0.6858
Li  0.7386  0.4378  0.3142
Li  0.8266  0.7097  0.9746
Co  0.0000  0.0000  0.5000
P  0.3550  0.8175  0.2276
P  0.6450  0.1825  0.7724
O  0.1955  0.6782  0.4043
O  0.2427  0.6753  0.0002
O  0.2834  0.0936  0.2543
O  0.3234  0.1901  0.7384
O  0.6766  0.8099  0.2616
O  0.7166  0.9064  0.7457
O  0.7573  0.3247  0.9998
O  0.8045  0.3218  0.5957

Most intense lines, 2θ = 15–90°, sorted by position:
17.00°, I 57.9; 20.93°, I 100.0; 24.73°, I 54.0; 27.10°, I 10.2; 27.48°, I 26.5; 32.96°, I 24.9; 33.16°, I 22.8; 35.70°, I 15.3; 36.29°, I 43.8; 37.34°, I 20.8; 40.20°, I 11.5; 57.65°, I 15.9

---

(2)
# Li4Cr3FeO8
Simulated X-ray diffraction stick pattern, Cu Kα X-rays. Input: the PBE+U geometry in the Materials Project.
Intensities are scaled so that the largest is 100.

Atomic structure:
Cell lengths 5.1233, 5.8865, 10.1946 Å; angles 90.05, 99.54, 106.71 degrees
Element x y z (fractional)
Li  0.0000  0.0000  0.0000
Li  0.0000  0.0000  0.5000
Li  0.0003  0.2491  0.2514
Li  0.0000  0.5000  0.0000
Li  0.0000  0.5000  0.5000
Li  0.9997  0.7509  0.7486
Li  0.0020  0.7515  0.2497
Li  0.9980  0.2485  0.7503
Cr  0.4999  0.1241  0.8734
Cr  0.5000  0.3740  0.1267
Cr  0.5002  0.3736  0.6233
Cr  0.4998  0.6264  0.3767
Cr  0.5000  0.6260  0.8733
Cr  0.5001  0.8759  0.1266
Fe  0.5001  0.1244  0.3762
Fe  0.4999  0.8756  0.6238
O  0.2734  0.5685  0.1905
O  0.2738  0.3181  0.9393
O  0.2736  0.8185  0.9395
O  0.2762  0.0656  0.6875
O  0.2760  0.0685  0.1934
O  0.2763  0.3154  0.4384
O  0.2761  0.5722  0.6869
O  0.2788  0.8240  0.4415
O  0.7212  0.1760  0.5585
O  0.7239  0.4278  0.3131
O  0.7237  0.6846  0.5616
O  0.7240  0.9315  0.8066
O  0.7238  0.9344  0.3125
O  0.7264  0.1815  0.0605
O  0.7262  0.6819  0.0607
O  0.7266  0.4315  0.8095

Most intense lines, 2θ = 15–90°, sorted by position:
18.36°, I 100.0; 35.77°, I 39.8; 37.21°, I 4.3; 37.40°, I 11.4; 43.40°, I 79.1; 47.51°, I 8.2; 57.32°, I 13.8; 62.93°, I 20.6; 63.19°, I 21.5; 66.41°, I 13.5; 79.77°, I 9.6; 82.37°, I 4.9

---

(3)
# LiFe4B4O12
Simulated X-ray diffraction stick pattern, Cu Kα X-rays. Input: the PBE+U geometry in the Materials Project.
Intensities are scaled so that the largest is 100.

Atomic structure:
Cell lengths 5.2579, 5.2582, 20.1623 Å; angles 89.96, 89.81, 60.78 degrees
Element x y z (fractional)
Li  0.0000  0.0000  0.0000
Li  0.0242  0.0282  0.7472
Fe  0.0311  0.6662  0.1394
Fe  0.0336  0.6517  0.6396
Fe  0.3550  0.3439  0.2644
Fe  0.3608  0.9942  0.3894
Fe  0.3638  0.3542  0.7662
Fe  0.3723  0.9933  0.8900
Fe  0.6713  0.6590  0.0170
Fe  0.6850  0.6718  0.5134
B  0.0212  0.6642  0.3901
B  0.0276  0.6585  0.8922
B  0.3528  0.3279  0.0151
B  0.3556  0.3312  0.5144
B  0.3609  0.0043  0.1411
B  0.3671  0.9996  0.6406
B  0.6923  0.6740  0.7647
B  0.6988  0.6717  0.2653
O  0.0658  0.8959  0.3927
O  0.0760  0.8903  0.9002
O  0.0888  0.5457  0.5408
O  0.1007  0.5785  0.0381
O  0.1213  0.9694  0.1383
O  0.1431  0.9429  0.6508
O  0.2314  0.3984  0.3633
O  0.2422  0.3954  0.8670
O  0.3236  0.0896  0.9923
O  0.3394  0.2665  0.1644
O  0.3397  0.2633  0.6616
O  0.3677  0.0748  0.4906
O  0.4402  0.9237  0.7878
O  0.4860  0.9387  0.2921
O  0.5889  0.3741  0.5127
O  0.6158  0.3156  0.0140
O  0.6292  0.7910  0.6123
O  0.6295  0.7872  0.1188
O  0.6512  0.4415  0.2631
O  0.7082  0.4090  0.7629
O  0.7596  0.6891  0.9108
O  0.7630  0.6797  0.4145
O  0.9294  0.7059  0.7414
O  0.9561  0.6588  0.2419

Most intense lines, 2θ = 15–90°, sorted by position:
19.34°, I 37.7; 19.57°, I 63.4; 21.29°, I 73.8; 21.48°, I 42.6; 26.26°, I 100.0; 33.69°, I 20.2; 34.11°, I 47.5; 35.62°, I 65.4; 38.23°, I 20.4; 40.30°, I 33.3; 40.79°, I 21.5; 60.54°, I 19.9

---

(4)
# Li3Mn2P3O12
Simulated X-ray diffraction stick pattern, Cu Kα X-rays. Input: the PBE+U geometry in the Materials Project.
Intensities are scaled so that the largest is 100.

Atomic structure:
Cell lengths 8.6814, 8.6814, 8.8741 Å; angles 119.70, 119.70, 60.61 degrees
Element x y z (fractional)
Li  0.0719  0.9281  0.5000
Li  0.2172  0.5433  0.0280
Li  0.5433  0.2172  0.5280
Li  0.5547  0.8101  0.4527
Li  0.8101  0.5547  0.9527
Li  0.9281  0.0719  0.0000
Mn  0.0312  0.5417  0.3445
Mn  0.3304  0.8343  0.0550
Mn  0.5417  0.0312  0.8445
Mn  0.8343  0.3304  0.5550
P  0.1329  0.2300  0.9301
P  0.2300  0.1329  0.4301
P  0.4246  0.6574  0.6648
P  0.6574  0.4246  0.1648
P  0.7153  0.9261  0.2439
P  0.9261  0.7153  0.7439
O  0.0833  0.1507  0.4910
O  0.0979  0.4308  0.0723
O  0.1116  0.7331  0.9050
O  0.1507  0.0833  0.9910
O  0.1895  0.3055  0.3891
O  0.2253  0.6690  0.5216
O  0.2260  0.9535  0.2518
O  0.3055  0.1895  0.8891
O  0.4308  0.0979  0.5723
O  0.4337  0.7097  0.8620
O  0.4607  0.5680  0.1216
O  0.4702  0.8055  0.6547
O  0.5635  0.8877  0.2538
O  0.5680  0.4607  0.6216
O  0.6690  0.2253  0.0216
O  0.6736  0.9211  0.0554
O  0.7097  0.4337  0.3620
O  0.7331  0.1116  0.4050
O  0.7729  0.9115  0.7862
O  0.8055  0.4702  0.1547
O  0.8877  0.5635  0.7538
O  0.9115  0.7729  0.2862
O  0.9211  0.6736  0.5554
O  0.9535  0.2260  0.7518

Most intense lines, 2θ = 15–90°, sorted by position:
20.02°, I 59.8; 20.15°, I 31.7; 20.46°, I 78.4; 23.48°, I 100.0; 23.85°, I 86.7; 24.00°, I 70.7; 28.64°, I 69.3; 29.10°, I 36.4; 31.45°, I 44.0; 31.94°, I 44.5; 32.73°, I 41.5; 35.42°, I 31.9